Record 1
Simulated X-ray diffraction stick pattern
Compound: Li4Ti2Cr3Sn3O16
Radiation: λ = 1.5418 Å (Cu Kα)
Structure: DFT lattice parameters and positions (PBE+U)
Peak positions follow from Bragg's law for the DFT cell and can differ from measured ones.

Structural model:
```
data_Li4Ti2Cr3Sn3O16
_chemical_formula_sum 'Li8 Ti4 Cr6 Sn6 O32'
_cell_length_a 10.5703
_cell_length_b 6.1225
_cell_length_c 9.6552
_cell_angle_alpha 90.00
_cell_angle_beta 90.71
_cell_angle_gamma 90.00
_space_group_name_H-M_alt 'C 1 m 1'
_space_group_IT_number 8
loop_
_space_group_symop_operation_xyz
'x,y,z'
'x,-y,z'
'x+1/2,y+1/2,z'
'x+1/2,-y+1/2,z'
loop_
_atom_site_label
_atom_site_fract_x
_atom_site_fract_y
_atom_site_fract_z
Li1 0.0000 0.0000 0.0000
Li2 0.0035 0.0000 0.4904
Li3 0.1824 0.5000 0.1016
Li4 0.3459 0.0000 0.5921
Ti1 0.1868 0.5000 0.4911
Ti2 0.3545 0.0000 0.0077
Cr1 0.3405 0.5000 0.7767
Cr2 0.4274 0.2436 0.2771
Sn1 0.0956 0.2540 0.7766
Sn2 0.1818 0.0000 0.2770
O1 0.0053 0.0000 0.6758
O2 0.0072 0.0000 0.1841
O3 0.0284 0.5000 0.6452
O4 0.0938 0.2517 0.3973
O5 0.1739 0.0000 0.8983
O6 0.1820 0.5000 0.8929
O7 0.2531 0.2841 0.6471
O8 0.2757 0.2212 0.1464
O9 0.3410 0.5000 0.3912
O10 0.3500 0.0000 0.3867
O11 0.4272 0.2511 0.8945
O12 0.4911 0.0000 0.1516
```

Most intense lines, 10° ≤ 2θ ≤ 80°, most intense first:
d [Å], 2theta, I_rel
4.827, 18.38, 1000
4.623, 19.20, 659
2.558, 35.08, 498
2.053, 44.12, 381
4.658, 19.05, 356
2.551, 35.19, 294
1.527, 60.65, 281
2.039, 44.43, 275

=====

Record 2
Simulated X-ray diffraction stick pattern
Compound: Li4Ti3Cr3Sn2O16
Radiation: λ = 1.5418 Å (Cu Kα)
Structure: DFT lattice parameters and positions (PBE+U)
Peak positions follow from Bragg's law for the DFT cell and can differ from measured ones.

Structural model:
```
data_Li4Ti3Cr3Sn2O16
_chemical_formula_sum 'Li8 Ti6 Cr6 Sn4 O32'
_cell_length_a 10.3285
_cell_length_b 5.9736
_cell_length_c 9.8176
_cell_angle_alpha 90.00
_cell_angle_beta 90.10
_cell_angle_gamma 90.00
_space_group_name_H-M_alt 'C 1 m 1'
_space_group_IT_number 8
loop_
_space_group_symop_operation_xyz
'x,y,z'
'x,-y,z'
'x+1/2,y+1/2,z'
'x+1/2,-y+1/2,z'
loop_
_atom_site_label
_atom_site_fract_x
_atom_site_fract_y
_atom_site_fract_z
Li1 0.0000 0.0000 0.0000
Li2 0.0000 0.0000 0.4984
Li3 0.1663 0.5000 0.0996
Li4 0.3344 0.0000 0.5957
Ti1 0.0857 0.2555 0.7772
Ti2 0.1712 0.0000 0.2771
Cr1 0.3307 0.5000 0.7788
Cr2 0.4158 0.2464 0.2781
Sn1 0.1706 0.5000 0.4987
Sn2 0.3369 0.0000 0.0040
O1 0.0001 0.0000 0.6834
O2 0.0032 0.0000 0.1836
O3 0.0194 0.5000 0.6527
O4 0.0844 0.2392 0.3907
O5 0.1642 0.0000 0.8907
O6 0.1644 0.5000 0.8874
O7 0.2401 0.2744 0.6550
O8 0.2562 0.2223 0.1550
O9 0.3293 0.0000 0.3858
O10 0.3420 0.5000 0.3931
O11 0.4225 0.2574 0.8917
O12 0.4833 0.0000 0.1556
```

Most intense lines, 10° ≤ 2θ ≤ 80°, most intense first:
d [Å], 2theta, I_rel
4.574, 19.41, 1000
2.550, 35.19, 545
2.765, 32.38, 396
3.559, 25.02, 314
2.028, 44.68, 276
2.499, 35.93, 273
1.492, 62.22, 245
1.564, 59.07, 245

=====

Record 3
Simulated X-ray diffraction stick pattern
Compound: Li4V3Cr2Sn3O16
Radiation: λ = 1.5418 Å (Cu Kα)
Structure: DFT lattice parameters and positions (PBE+U)
Peak positions follow from Bragg's law for the DFT cell and can differ from measured ones.

Structural model:
```
data_Li4V3Cr2Sn3O16
_chemical_formula_sum 'Li4 V3 Cr2 Sn3 O16'
_cell_length_a 6.0975
_cell_length_b 6.1216
_cell_length_c 9.6762
_cell_angle_alpha 89.63
_cell_angle_beta 89.69
_cell_angle_gamma 60.23
_space_group_name_H-M_alt 'P 1'
_space_group_IT_number 1
loop_
_space_group_symop_operation_xyz
'x,y,z'
loop_
_atom_site_label
_atom_site_fract_x
_atom_site_fract_y
_atom_site_fract_z
Li1 0.0000 0.0000 0.0000
Li2 0.0061 0.9921 0.4919
Li3 0.3446 0.3096 0.5964
Li4 0.6824 0.6311 0.1019
V1 0.1903 0.1403 0.2780
V2 0.6730 0.1478 0.2823
V3 0.8427 0.3148 0.7788
Cr1 0.3458 0.3057 0.0088
Cr2 0.6839 0.6392 0.5048
Sn1 0.1798 0.6381 0.2779
Sn2 0.3504 0.8066 0.7785
Sn3 0.8431 0.8068 0.7787
O1 0.0119 0.9776 0.6753
O2 0.0180 0.9840 0.1827
O3 0.0545 0.4451 0.1488
O4 0.1705 0.1474 0.8899
O5 0.1731 0.6528 0.9003
O6 0.3324 0.3080 0.3918
O7 0.3419 0.8221 0.3905
O8 0.4747 0.0208 0.1569
O9 0.4976 0.4452 0.1489
O10 0.5327 0.9366 0.6428
O11 0.5364 0.4920 0.6482
O12 0.6770 0.6447 0.8955
O13 0.6822 0.1460 0.8912
O14 0.8399 0.8218 0.3913
O15 0.8597 0.3036 0.3830
O16 0.9722 0.4930 0.6488
```

Most intense lines, 10° ≤ 2θ ≤ 80°, most intense first:
d [Å], 2theta, I_rel
4.838, 18.34, 1000
4.652, 19.08, 802
2.553, 35.15, 470
4.631, 19.17, 336
2.562, 35.02, 322
2.053, 44.11, 285
2.047, 44.24, 277
2.591, 34.62, 273

=====

Record 4
Simulated X-ray diffraction stick pattern
Compound: Li4V3Cr3Sn2O16
Radiation: λ = 1.5418 Å (Cu Kα)
Structure: DFT lattice parameters and positions (PBE+U)
Peak positions follow from Bragg's law for the DFT cell and can differ from measured ones.

Structural model:
```
data_Li4V3Cr3Sn2O16
_chemical_formula_sum 'Li4 V3 Cr3 Sn2 O16'
_cell_length_a 5.9475
_cell_length_b 5.9898
_cell_length_c 9.7715
_cell_angle_alpha 89.80
_cell_angle_beta 89.66
_cell_angle_gamma 60.33
_space_group_name_H-M_alt 'P 1'
_space_group_IT_number 1
loop_
_space_group_symop_operation_xyz
'x,y,z'
loop_
_atom_site_label
_atom_site_fract_x
_atom_site_fract_y
_atom_site_fract_z
Li1 0.0000 0.0000 0.0000
Li2 0.0031 0.9973 0.5013
Li3 0.3422 0.3338 0.1003
Li4 0.6778 0.6660 0.5991
V1 0.1768 0.6580 0.7817
V2 0.6589 0.1723 0.7759
V3 0.8333 0.8269 0.2762
Cr1 0.1721 0.1694 0.7807
Cr2 0.3444 0.8293 0.2807
Cr3 0.8361 0.3378 0.2803
Sn1 0.3360 0.3304 0.5013
Sn2 0.6684 0.6657 0.0026
O1 0.0422 0.4808 0.6559
O2 0.1630 0.6782 0.3952
O3 0.1640 0.1561 0.3954
O4 0.3218 0.8381 0.8957
O5 0.3590 0.3164 0.8888
O6 0.4907 0.0319 0.6572
O7 0.5003 0.4729 0.6530
O8 0.5230 0.5181 0.1584
O9 0.5272 0.9661 0.1571
O10 0.6823 0.6744 0.3858
O11 0.6846 0.1551 0.3942
O12 0.8404 0.3211 0.8953
O13 0.8407 0.8394 0.8942
O14 0.9722 0.5221 0.1562
O15 0.9890 0.0085 0.6875
O16 0.9985 0.9927 0.1871
```

Most intense lines, 10° ≤ 2θ ≤ 80°, most intense first:
d [Å], 2theta, I_rel
4.585, 19.36, 1000
4.556, 19.48, 490
2.556, 35.10, 408
2.761, 32.43, 400
1.562, 59.13, 293
3.560, 25.01, 292
2.548, 35.22, 278
1.498, 61.93, 250